For K2Li3NiO4, DFT lattice parameters and positions (PBE+U) gives the simulated X-ray diffraction stick pattern in this record (copper Kα).

Structure:
a b c (Å): 5.5698 8.8426 11.0276
angles (deg): 90.00 111.34 90.00
Fractional positions:
K 0.2084 0.0079 0.3621
K 0.2084 0.4921 0.8621
K 0.2223 0.2293 0.6088
K 0.2223 0.2707 0.1088
K 0.7777 0.7293 0.8912
K 0.7777 0.7707 0.3912
K 0.7916 0.5079 0.1379
K 0.7916 0.9921 0.6379
Li 0.1216 0.7367 0.6993
Li 0.1216 0.7633 0.1993
Li 0.1333 0.0060 0.9326
Li 0.1333 0.4940 0.4326
Li 0.4049 0.5290 0.2996
Li 0.4049 0.9710 0.7996
Li 0.5951 0.0290 0.2004
Li 0.5951 0.4710 0.7004
Li 0.8667 0.5060 0.5674
Li 0.8667 0.9940 0.0674
Li 0.8784 0.2367 0.8007
Li 0.8784 0.2633 0.3007
Ni 0.3982 0.7144 0.5627
Ni 0.3982 0.7856 0.0627
Ni 0.6018 0.2144 0.9373
Ni 0.6018 0.2856 0.4373
O 0.2405 0.5525 0.6231
O 0.2405 0.9475 0.1231
O 0.2504 0.1751 0.8558
O 0.2504 0.3249 0.3558
O 0.2663 0.6903 0.3817
O 0.2663 0.8097 0.8817
O 0.2816 0.6080 0.1152
O 0.2816 0.8920 0.6152
O 0.7184 0.1080 0.3848
O 0.7184 0.3920 0.8848
O 0.7337 0.1903 0.1183
O 0.7337 0.3097 0.6183
O 0.7496 0.6751 0.6442
O 0.7496 0.8249 0.1442
O 0.7595 0.0525 0.8769
O 0.7595 0.4475 0.3769

Most intense lines, 10 to 90 degrees two-theta, by angle:
2θ = 17.27°, I 35, hkl 0 0 2
2θ = 20.06°, I 65, hkl 0 2 0
2θ = 21.87°, I 91, hkl 1 1 -2
2θ = 34.10°, I 50, hkl 2 1 -2
2θ = 34.38°, I 45, hkl 1 1 -4
2θ = 34.54°, I 100, hkl 2 0 0
2θ = 34.94°, I 66, hkl 0 0 4
2θ = 35.16°, I 84, hkl 1 2 2
2θ = 36.08°, I 37, hkl 2 1 0
2θ = 45.06°, I 47, hkl 2 3 -2